Starting from a cell relaxed with PBE, the powder diffractogram of SrTc was simulated for copper Kα.

Crystal structure
```
data_SrTc
_chemical_formula_sum 'Sr4 Tc4'
_space_group_name_H-M_alt 'C m c m'
_space_group_IT_number 63
_space_group_name_Hall '-C 2c 2'
_cell_length_a 3.3173
_cell_length_b 19.1711
_cell_length_c 3.3506
_cell_angle_alpha 90.00
_cell_angle_beta 90.00
_cell_angle_gamma 90.00
loop_
_atom_site_label
_atom_site_type_symbol
_atom_site_fract_x
_atom_site_fract_y
_atom_site_fract_z
Sr1 Sr 0.0000 0.0999 0.2500
Tc1 Tc 0.0000 0.2773 0.2500
```

The 6 most intense peaks (15° ≤ 2θ ≤ 90°), low angle first:
27.92°, rel. 39.8
32.61°, rel. 46.5
35.79°, rel. 72.6
38.48°, rel. 100.0
38.95°, rel. 40.3
51.12°, rel. 27.5

=====

Starting from a cell relaxed with PBE, the powder diffractogram of Tb2PmAl2Zn2 was simulated for copper Kα.

Crystal structure
```
data_Tb2PmAl2Zn2
_chemical_formula_sum 'Tb6 Pm3 Al6 Zn6'
_space_group_name_H-M_alt 'R -3 m'
_space_group_IT_number 166
_space_group_name_Hall '-R 3 2"'
_cell_length_a 4.5360
_cell_length_b 4.5360
_cell_length_c 27.6502
_cell_angle_alpha 90.00
_cell_angle_beta 90.00
_cell_angle_gamma 120.00
loop_
_atom_site_label
_atom_site_type_symbol
_atom_site_fract_x
_atom_site_fract_y
_atom_site_fract_z
Tb1 Tb 0.0000 0.0000 0.1284
Pm1 Pm 0.0000 0.0000 0.0000
Al1 Al 0.0000 0.0000 0.2614
Zn1 Zn 0.0000 0.0000 0.4027
```

The 6 most intense peaks (15° ≤ 2θ ≤ 90°), low angle first:
22.87°, rel. 57.2
26.09°, rel. 35.0
32.14°, rel. 97.4
34.57°, rel. 94.3
39.74°, rel. 100.0
65.22°, rel. 39.7

=====

Starting from a cell relaxed with PBE, the powder diffractogram of Dy6Cu5Tc was simulated for copper Kα.

Crystal structure
```
data_Dy6Cu5Tc
_chemical_formula_sum 'Dy6 Cu5 Tc1'
_space_group_name_H-M_alt 'P 1 2/m 1'
_space_group_IT_number 10
_cell_length_a 4.9164
_cell_length_b 6.8921
_cell_length_c 7.7459
_cell_angle_alpha 90.00
_cell_angle_beta 108.35
_cell_angle_gamma 90.00
loop_
_space_group_symop_operation_xyz
'x,y,z'
'-x,-y,-z'
'-x,y,-z'
'x,-y,z'
loop_
_atom_site_label
_atom_site_type_symbol
_atom_site_fract_x
_atom_site_fract_y
_atom_site_fract_z
Dy1 Dy 0.0000 0.2448 0.0000
Dy2 Dy 0.3356 0.2461 0.6712
Cu1 Cu 0.1620 0.0000 0.3262
Cu2 Cu 0.1659 0.5000 0.3308
Cu3 Cu 0.5000 0.5000 0.0000
Tc1 Tc 0.5000 0.0000 0.0000
```

The 6 most intense peaks (15° ≤ 2θ ≤ 90°), low angle first:
36.55°, rel. 33.9
36.71°, rel. 100.0
36.77°, rel. 66.4
65.93°, rel. 23.4
66.08°, rel. 23.0
66.28°, rel. 22.9

=====

Starting from a cell relaxed with PBE, the powder diffractogram of Lu2TeS was simulated for copper Kα.

Crystal structure
```
data_Lu2TeS
_chemical_formula_sum 'Lu6 Te3 S3'
_space_group_name_H-M_alt 'R -3 m'
_space_group_IT_number 166
_space_group_name_Hall '-R 3 2"'
_cell_length_a 3.9984
_cell_length_b 3.9984
_cell_length_c 20.2963
_cell_angle_alpha 90.00
_cell_angle_beta 90.00
_cell_angle_gamma 120.00
loop_
_atom_site_label
_atom_site_type_symbol
_atom_site_fract_x
_atom_site_fract_y
_atom_site_fract_z
Lu1 Lu 0.0000 0.0000 0.2330
Te1 Te 0.0000 0.0000 0.0000
S1 S 0.0000 0.0000 0.5000
```

The 6 most intense peaks (15° ≤ 2θ ≤ 90°), low angle first:
27.21°, rel. 20.4
31.27°, rel. 100.0
34.03°, rel. 25.6
44.26°, rel. 25.3
45.36°, rel. 40.6
56.13°, rel. 18.9

=====

Starting from a cell relaxed with PBE, the powder diffractogram of Ni6PdS8 was simulated for copper Kα.

Crystal structure
```
data_Ni6PdS8
_chemical_formula_sum 'Ni18 Pd3 S24'
_space_group_name_H-M_alt 'R -3'
_space_group_IT_number 148
_space_group_name_Hall '-R 3'
_cell_length_a 9.0050
_cell_length_b 9.0050
_cell_length_c 10.0351
_cell_angle_alpha 90.00
_cell_angle_beta 90.00
_cell_angle_gamma 120.00
loop_
_atom_site_label
_atom_site_type_symbol
_atom_site_fract_x
_atom_site_fract_y
_atom_site_fract_z
Ni1 Ni 0.0238 0.8295 0.3796
Pd1 Pd 0.0000 0.0000 0.0000
S1 S 0.0000 0.0000 0.2301
S2 S 0.0287 0.6216 0.2527
```

The 6 most intense peaks (15° ≤ 2θ ≤ 90°), low angle first:
24.49°, rel. 62.6
26.65°, rel. 45.0
31.64°, rel. 80.1
35.32°, rel. 40.4
42.79°, rel. 100.0
47.60°, rel. 47.9

=====

Starting from a cell relaxed with PBE, the powder diffractogram of La2GaAu3 was simulated for copper Kα.

Crystal structure
```
data_La2GaAu3
_chemical_formula_sum 'La2 Ga1 Au3'
_space_group_name_H-M_alt 'P m m 2'
_space_group_IT_number 25
_cell_length_a 3.7420
_cell_length_b 4.6858
_cell_length_c 8.2738
_cell_angle_alpha 90.00
_cell_angle_beta 90.00
_cell_angle_gamma 90.00
loop_
_space_group_symop_operation_xyz
'x,y,z'
'-x,-y,z'
'-x,y,z'
'x,-y,z'
loop_
_atom_site_label
_atom_site_type_symbol
_atom_site_fract_x
_atom_site_fract_y
_atom_site_fract_z
La1 La 0.0000 0.0000 0.0000
La2 La 0.0000 0.5000 0.4872
Ga1 Ga 0.5000 0.5000 0.8196
Au1 Au 0.5000 0.0000 0.3339
Au2 Au 0.5000 0.0000 0.6756
Au3 Au 0.5000 0.5000 0.1412
```

The 6 most intense peaks (15° ≤ 2θ ≤ 90°), low angle first:
32.26°, rel. 44.5
32.48°, rel. 100.0
37.85°, rel. 69.3
38.42°, rel. 35.1
51.01°, rel. 24.7
63.25°, rel. 31.0

=====

Starting from a cell relaxed with PBE, the powder diffractogram of Th6P2C3O was simulated for copper Kα.

Crystal structure
```
data_Th6P2C3O
_chemical_formula_sum 'Th12 P4 C6 O2'
_space_group_name_H-M_alt 'C 1 2/m 1'
_space_group_IT_number 12
_cell_length_a 17.0668
_cell_length_b 3.8629
_cell_length_c 7.8636
_cell_angle_alpha 90.00
_cell_angle_beta 104.57
_cell_angle_gamma 90.00
loop_
_space_group_symop_operation_xyz
'x,y,z'
'-x,-y,-z'
'-x,y,-z'
'x,-y,z'
'x+1/2,y+1/2,z'
'-x+1/2,-y+1/2,-z'
'-x+1/2,y+1/2,-z'
'x+1/2,-y+1/2,z'
loop_
_atom_site_label
_atom_site_type_symbol
_atom_site_fract_x
_atom_site_fract_y
_atom_site_fract_z
Th1 Th 0.0069 0.0000 0.2463
Th2 Th 0.1598 0.5000 0.1002
Th3 Th 0.1678 0.5000 0.5627
P1 P 0.1654 0.0000 0.8311
C1 C 0.0000 0.5000 0.0000
C2 C 0.1638 0.0000 0.3388
O1 O 0.0000 0.5000 0.5000
```

The 6 most intense peaks (15° ≤ 2θ ≤ 90°), low angle first:
27.59°, rel. 32.3
28.21°, rel. 100.0
32.51°, rel. 95.8
46.24°, rel. 32.2
47.03°, rel. 35.5
55.40°, rel. 29.8

=====

Please write out number 3 again, unchanged.
Starting from a cell relaxed with PBE, the powder diffractogram of Dy6Cu5Tc was simulated for copper Kα.

Crystal structure
```
data_Dy6Cu5Tc
_chemical_formula_sum 'Dy6 Cu5 Tc1'
_space_group_name_H-M_alt 'P 1 2/m 1'
_space_group_IT_number 10
_cell_length_a 4.9164
_cell_length_b 6.8921
_cell_length_c 7.7459
_cell_angle_alpha 90.00
_cell_angle_beta 108.35
_cell_angle_gamma 90.00
loop_
_space_group_symop_operation_xyz
'x,y,z'
'-x,-y,-z'
'-x,y,-z'
'x,-y,z'
loop_
_atom_site_label
_atom_site_type_symbol
_atom_site_fract_x
_atom_site_fract_y
_atom_site_fract_z
Dy1 Dy 0.0000 0.2448 0.0000
Dy2 Dy 0.3356 0.2461 0.6712
Cu1 Cu 0.1620 0.0000 0.3262
Cu2 Cu 0.1659 0.5000 0.3308
Cu3 Cu 0.5000 0.5000 0.0000
Tc1 Tc 0.5000 0.0000 0.0000
```

The 6 most intense peaks (15° ≤ 2θ ≤ 90°), low angle first:
36.55°, rel. 33.9
36.71°, rel. 100.0
36.77°, rel. 66.4
65.93°, rel. 23.4
66.08°, rel. 23.0
66.28°, rel. 22.9